1.
Starting from a DFT-relaxed cell (GGA-PBE, OQMD), the powder diffractogram of MgNb2S4 was computed for Cu Ka.
No peak broadening, texture or thermal motion is included.

Structure:
Cell lengths 10.385, 10.385, 10.385 Å; angles 90.00, 90.00, 90.00 degrees
Space group Fd-3m (No. 227, origin choice 2)
Inequivalent atoms, fractional coordinates:
Mg1 0.125 0.125 0.125 (multiplicity 8)
Nb1 0.000 0.000 0.500 (multiplicity 16)
S1 0.006 0.006 0.744 (multiplicity 32)

Largest 10 diffraction maxima, low angle first, 2θ = 10–90°:
| 2θ (°) | d [Å] | I/Imax | h k l |
| --- | --- | --- | --- |
| 14.8 | 5.996 | 91.8 | 1 1 1 |
| 28.5 | 3.131 | 95.1 | 3 1 1 |
| 34.5 | 2.596 | 100.0 | 4 0 0 |
| 37.8 | 2.382 | 14.9 | 3 3 1 |
| 45.4 | 1.999 | 41.7 | 5 1 1 |
| 49.7 | 1.836 | 91.5 | 4 4 0 |
| 52.1 | 1.755 | 19.8 | 5 3 1 |
| 61.9 | 1.499 | 21.8 | 4 4 4 |
| 69.5 | 1.352 | 19.0 | 5 5 3 |
| 83.2 | 1.161 | 28.0 | 8 4 0 |

2.
Starting from a DFT-relaxed cell (GGA-PBE, OQMD), the powder diffractogram of GaNiTe was computed for Cu Ka.
No peak broadening, texture or thermal motion is included.

Structure:
```
data_GaNiTe
_symmetry_space_group_name_H-M 'P n m a'
_symmetry_Int_Tables_number 62
_cell_length_a 4.431
_cell_length_b 3.193
_cell_length_c 16.702
_cell_angle_alpha 90.00
_cell_angle_beta 90.00
_cell_angle_gamma 90.00
loop_
_symmetry_equiv_pos_as_xyz
'x,y,z'
'-x,-y,-z'
'-x+1/2,-y,z+1/2'
'x+1/2,y,-z+1/2'
'x+1/2,-y+1/2,-z+1/2'
'-x+1/2,y+1/2,z+1/2'
'-x,y+1/2,-z'
'x,-y+1/2,z'
loop_
_atom_site_label
_atom_site_fract_x
_atom_site_fract_y
_atom_site_fract_z
Ga1 0.192 0.250 0.191
Ni1 0.117 0.750 0.300
Te1 0.236 0.750 0.920
```

Largest 10 diffraction maxima, low angle first, 2θ = 10–90°:
| 2θ (°) | d [Å] | I/Imax | h k l |
| --- | --- | --- | --- |
| 10.6 | 8.351 | 32.3 | 0 0 2 |
| 22.7 | 3.914 | 47.9 | 1 0 2 |
| 29.4 | 3.039 | 68.0 | 1 0 4 |
| 32.3 | 2.770 | 45.8 | 0 1 3 |
| 35.1 | 2.560 | 21.5 | 1 1 1 |
| 38.3 | 2.349 | 38.7 | 1 1 3 |
| 40.7 | 2.216 | 21.2 | 2 0 0 |
| 41.1 | 2.199 | 24.4 | 2 0 1 |
| 43.3 | 2.088 | 25.8 | 0 0 8 |
| 44.2 | 2.047 | 100.0 | 1 1 5 |

3.
Starting from a DFT-relaxed cell (GGA-PBE, OQMD), the powder diffractogram of Nb3PbN6 was computed for Cu Ka.
No peak broadening, texture or thermal motion is included.

Structure:
```
data_Nb3PbN6
_symmetry_space_group_name_H-M 'P 63/m c m'
_symmetry_Int_Tables_number 193
_symmetry_space_group_name_Hall '-P 6c 2'
_cell_length_a 5.3124
_cell_length_b 5.3124
_cell_length_c 12.2671
_cell_angle_alpha 90.00
_cell_angle_beta 90.00
_cell_angle_gamma 120.00
loop_
_atom_site_label
_atom_site_fract_x
_atom_site_fract_y
_atom_site_fract_z
Nb1 0.0000 0.0000 0.2500
Nb2 0.3333 0.6667 0.2500
Pb1 0.0000 0.0000 0.0000
N1 0.0000 0.3291 0.1536
```

Largest 10 diffraction maxima, low angle first, 2θ = 10–90°:
| 2θ (°) | d [Å] | I/Imax | h k l |
| --- | --- | --- | --- |
| 19.3 | 4.601 | 69.0 | 1 0 0 |
| 24.2 | 3.680 | 80.0 | 1 0 2 |
| 29.1 | 3.067 | 37.5 | 0 0 4 |
| 33.7 | 2.656 | 85.1 | 1 1 0 |
| 35.2 | 2.552 | 31.2 | 1 0 4 |
| 41.9 | 2.154 | 19.7 | 2 0 2 |
| 45.2 | 2.008 | 100.0 | 1 1 4 |
| 60.4 | 1.534 | 30.3 | 3 0 0 |
| 68.4 | 1.372 | 21.4 | 3 0 4 |
| 71.0 | 1.328 | 33.1 | 1 1 8 |

4.
Starting from a DFT-relaxed cell (GGA-PBE, OQMD), the powder diffractogram of Au6IF was computed for Cu Ka.
No peak broadening, texture or thermal motion is included.

Structure:
```
data_Au6IF
_symmetry_space_group_name_H-M 'F -4 3 m'
_symmetry_Int_Tables_number 216
_symmetry_space_group_name_Hall 'F -4 2 3'
_cell_length_a 8.969
_cell_length_b 8.969
_cell_length_c 8.969
_cell_angle_alpha 90.00
_cell_angle_beta 90.00
_cell_angle_gamma 90.00
loop_
_atom_site_label
_atom_site_fract_x
_atom_site_fract_y
_atom_site_fract_z
Au1 0.000 0.000 0.223
I1 0.250 0.250 0.750
F1 0.000 0.000 0.500
```

Largest 10 diffraction maxima, low angle first, 2θ = 10–90°:
| 2θ (°) | d [Å] | I/Imax | h k l |
| --- | --- | --- | --- |
| 17.1 | 5.178 | 17.4 | 1 1 1 |
| 19.8 | 4.484 | 18.9 | 2 0 0 |
| 34.6 | 2.589 | 100.0 | 2 2 2 |
| 40.2 | 2.242 | 51.7 | 4 0 0 |
| 44.0 | 2.058 | 13.3 | 3 3 1 |
| 53.1 | 1.726 | 18.5 | 3 3 3 |
| 58.2 | 1.585 | 30.5 | 4 4 0 |
| 69.5 | 1.352 | 30.8 | 6 2 2 |
| 75.7 | 1.256 | 10.9 | 5 5 1 |
| 82.6 | 1.168 | 12.3 | 7 3 1 |

5.
Starting from a DFT-relaxed cell (GGA-PBE, OQMD), the powder diffractogram of TbNd2Ni4Sn4 was computed for Cu Ka.
No peak broadening, texture or thermal motion is included.

Structure:
```
data_TbNd2Ni4Sn4
_symmetry_space_group_name_H-M 'C 1 2/m 1'
_symmetry_Int_Tables_number 12
_cell_length_a 16.139
_cell_length_b 4.498
_cell_length_c 6.937
_cell_angle_alpha 90.00
_cell_angle_beta 115.38
_cell_angle_gamma 90.00
loop_
_symmetry_equiv_pos_as_xyz
'x,y,z'
'-x,-y,-z'
'-x,y,-z'
'x,-y,z'
'x+1/2,y+1/2,z'
'-x+1/2,-y+1/2,-z'
'-x+1/2,y+1/2,-z'
'x+1/2,-y+1/2,z'
loop_
_atom_site_label
_atom_site_fract_x
_atom_site_fract_y
_atom_site_fract_z
Tb1 0.000 0.000 0.000
Nd1 0.133 0.000 0.633
Ni1 0.174 0.500 0.987
Ni2 0.175 0.500 0.362
Sn1 0.000 0.500 0.293
Sn2 0.215 0.000 0.215
```

Largest 10 diffraction maxima, low angle first, 2θ = 10–90°:
| 2θ (°) | d [Å] | I/Imax | h k l |
| --- | --- | --- | --- |
| 33.2 | 2.699 | 100.0 | 3 1 -2 |
| 33.3 | 2.688 | 28.5 | 6 0 -1 |
| 34.2 | 2.622 | 91.3 | 3 1 1 |
| 37.0 | 2.430 | 17.3 | 6 0 0 |
| 40.1 | 2.249 | 43.8 | 0 2 0 |
| 43.3 | 2.088 | 21.0 | 6 0 -3 |
| 45.4 | 2.000 | 27.3 | 3 1 2 |
| 53.1 | 1.725 | 15.2 | 6 2 -1 |
| 69.1 | 1.360 | 18.4 | 3 3 1 |
| 76.5 | 1.246 | 15.7 | 9 1 -5 |

6.
Starting from a DFT-relaxed cell (GGA-PBE, OQMD), the powder diffractogram of ZnSb2Xe6F24 was computed for Cu Ka.
No peak broadening, texture or thermal motion is included.

Structure:
```
data_ZnSb2Xe6F24
_symmetry_space_group_name_H-M 'R -3'
_symmetry_Int_Tables_number 148
_symmetry_space_group_name_Hall '-R 3'
_cell_length_a 9.4273
_cell_length_b 9.4273
_cell_length_c 20.8121
_cell_angle_alpha 90.00
_cell_angle_beta 90.00
_cell_angle_gamma 120.00
loop_
_atom_site_label
_atom_site_fract_x
_atom_site_fract_y
_atom_site_fract_z
Zn1 0.0000 0.0000 0.0000
Sb1 0.0000 0.0000 0.2521
Xe1 0.0161 0.5472 0.2489
F1 0.0250 0.1883 0.9461
F2 0.0718 0.8851 0.3071
F3 0.0822 0.8915 0.8008
F4 0.0980 0.2327 0.4485
```

Largest 10 diffraction maxima, low angle first, 2θ = 10–90°:
| 2θ (°) | d [Å] | I/Imax | h k l |
| --- | --- | --- | --- |
| 22.8 | 3.899 | 19.9 | 2 -1 3 |
| 23.4 | 3.800 | 95.5 | 2 0 2 |
| 25.7 | 3.469 | 34.8 | 0 0 6 |
| 27.8 | 3.212 | 100.0 | 0 2 4 |
| 38.2 | 2.357 | 25.2 | 2 2 0 |
| 40.1 | 2.251 | 15.5 | 1 3 1 |
| 41.1 | 2.194 | 37.4 | 2 0 8 |
| 45.3 | 2.003 | 15.2 | 0 4 2 |
| 46.6 | 1.949 | 26.8 | 4 -2 6 |
| 67.0 | 1.397 | 21.7 | 4 -2 12 |

7.
Starting from a DFT-relaxed cell (GGA-PBE, OQMD), the powder diffractogram of FeMoCl6 was computed for Cu Ka.
No peak broadening, texture or thermal motion is included.

Structure:
```
data_FeMoCl6
_symmetry_space_group_name_H-M 'C 1 2/c 1'
_symmetry_Int_Tables_number 15
_cell_length_a 6.198
_cell_length_b 10.782
_cell_length_c 11.816
_cell_angle_alpha 90.00
_cell_angle_beta 90.31
_cell_angle_gamma 90.00
loop_
_symmetry_equiv_pos_as_xyz
'x,y,z'
'-x,-y,-z'
'-x,y,-z+1/2'
'x,-y,z+1/2'
'x+1/2,y+1/2,z'
'-x+1/2,-y+1/2,-z'
'-x+1/2,y+1/2,-z+1/2'
'x+1/2,-y+1/2,z+1/2'
loop_
_atom_site_label
_atom_site_fract_x
_atom_site_fract_y
_atom_site_fract_z
Fe1 0.000 0.002 0.250
Mo1 0.000 0.332 0.250
Cl1 0.143 0.168 0.133
Cl2 0.177 0.487 0.134
Cl3 0.181 0.156 0.633
```

Largest 10 diffraction maxima, low angle first, 2θ = 10–90°:
| 2θ (°) | d [Å] | I/Imax | h k l |
| --- | --- | --- | --- |
| 15.0 | 5.908 | 89.2 | 0 0 2 |
| 18.1 | 4.895 | 100.0 | 1 1 1 |
| 32.5 | 2.754 | 88.1 | 1 3 -2 |
| 32.7 | 2.738 | 42.0 | 2 0 2 |
| 42.1 | 2.144 | 41.9 | 1 3 -4 |
| 42.3 | 2.139 | 18.2 | 1 3 4 |
| 42.4 | 2.132 | 16.1 | 2 0 4 |
| 50.8 | 1.798 | 16.0 | 0 6 0 |
| 51.0 | 1.791 | 25.3 | 3 3 0 |
| 55.3 | 1.662 | 19.9 | 1 3 6 |

8.
Starting from a DFT-relaxed cell (GGA-PBE, OQMD), the powder diffractogram of SnTePdO was computed for Cu Ka.
No peak broadening, texture or thermal motion is included.

Structure:
```
data_SnTePdO
_symmetry_space_group_name_H-M 'C m c 21'
_symmetry_Int_Tables_number 36
_cell_length_a 3.842
_cell_length_b 16.989
_cell_length_c 5.379
_cell_angle_alpha 90.00
_cell_angle_beta 90.00
_cell_angle_gamma 90.00
loop_
_symmetry_equiv_pos_as_xyz
'x,y,z'
'-x,-y,z+1/2'
'-x,y,z'
'x,-y,z+1/2'
'x+1/2,y+1/2,z'
'-x+1/2,-y+1/2,z+1/2'
'-x+1/2,y+1/2,z'
'x+1/2,-y+1/2,z+1/2'
loop_
_atom_site_label
_atom_site_fract_x
_atom_site_fract_y
_atom_site_fract_z
Sn1 0.000 0.070 0.000
Te1 0.000 0.294 0.951
Pd1 0.000 0.323 0.451
O1 0.000 0.039 0.364
```

Largest 10 diffraction maxima, low angle first, 2θ = 10–90°:
| 2θ (°) | d [Å] | I/Imax | h k l |
| --- | --- | --- | --- |
| 10.4 | 8.494 | 53.7 | 0 2 0 |
| 19.5 | 4.545 | 47.4 | 0 2 1 |
| 28.1 | 3.180 | 100.0 | 1 3 0 |
| 33.3 | 2.690 | 64.5 | 0 0 2 |
| 35.3 | 2.545 | 68.4 | 1 5 0 |
| 39.2 | 2.301 | 44.0 | 1 5 1 |
| 44.1 | 2.053 | 51.9 | 1 3 2 |
| 47.3 | 1.921 | 27.8 | 2 0 0 |
| 49.3 | 1.849 | 50.5 | 1 5 2 |
| 59.1 | 1.563 | 29.4 | 2 0 2 |

9.
Starting from a DFT-relaxed cell (GGA-PBE, OQMD), the powder diffractogram of Tm2BiClO4 was computed for Cu Ka.
No peak broadening, texture or thermal motion is included.

Structure:
```
data_Tm2BiClO4
_symmetry_space_group_name_H-M 'P 4/m m m'
_symmetry_Int_Tables_number 123
_symmetry_space_group_name_Hall '-P 4 2'
_cell_length_a 3.911
_cell_length_b 3.911
_cell_length_c 8.912
_cell_angle_alpha 90.00
_cell_angle_beta 90.00
_cell_angle_gamma 90.00
loop_
_atom_site_label
_atom_site_fract_x
_atom_site_fract_y
_atom_site_fract_z
Tm1 0.000 0.000 0.235
Bi1 0.500 0.500 0.500
Cl1 0.500 0.500 0.000
O1 0.000 0.500 0.332
```

Largest 10 diffraction maxima, low angle first, 2θ = 10–90°:
| 2θ (°) | d [Å] | I/Imax | h k l |
| --- | --- | --- | --- |
| 24.9 | 3.581 | 19.9 | 1 0 1 |
| 30.4 | 2.939 | 100.0 | 1 0 2 |
| 32.4 | 2.765 | 33.7 | 1 1 0 |
| 40.5 | 2.228 | 9.8 | 0 0 4 |
| 44.8 | 2.024 | 11.4 | 1 1 3 |
| 46.4 | 1.955 | 19.5 | 2 0 0 |
| 52.8 | 1.735 | 22.2 | 1 1 4 |
| 56.5 | 1.628 | 35.0 | 2 1 2 |
| 63.3 | 1.470 | 10.8 | 2 0 4 |
| 85.8 | 1.132 | 9.5 | 2 1 6 |

10.
Starting from a DFT-relaxed cell (GGA-PBE, OQMD), the powder diffractogram of SmH8S3N3O10 was computed for Cu Ka.
No peak broadening, texture or thermal motion is included.

Structure:
```
data_SmH8S3N3O10
_symmetry_space_group_name_H-M 'P -1'
_symmetry_Int_Tables_number 2
_cell_length_a 6.574
_cell_length_b 9.110
_cell_length_c 9.133
_cell_angle_alpha 68.30
_cell_angle_beta 83.56
_cell_angle_gamma 75.61
loop_
_symmetry_equiv_pos_as_xyz
'x,y,z'
'-x,-y,-z'
loop_
_atom_site_label
_atom_site_fract_x
_atom_site_fract_y
_atom_site_fract_z
Sm1 0.130 0.091 0.185
H1 0.027 0.385 0.756
H2 0.174 0.422 0.144
H3 0.185 0.524 0.353
H4 0.329 0.375 0.007
H5 0.374 0.263 0.534
H6 0.411 0.326 0.682
H7 0.433 0.818 0.697
H8 0.470 0.616 0.744
S1 0.232 0.753 0.558
S2 0.264 0.690 0.119
S3 0.300 0.096 0.774
N1 0.130 0.560 0.241
N2 0.322 0.269 0.644
N3 0.446 0.727 0.653
O1 0.044 0.753 0.664
O2 0.155 0.042 0.705
O3 0.186 0.729 0.962
O4 0.213 0.137 0.913
O5 0.220 0.343 0.088
O6 0.224 0.916 0.439
O7 0.235 0.834 0.161
O8 0.272 0.620 0.501
O9 0.483 0.597 0.139
O10 0.496 0.970 0.812
```

Largest 10 diffraction maxima, low angle first, 2θ = 10–90°:
| 2θ (°) | d [Å] | I/Imax | h k l |
| --- | --- | --- | --- |
| 10.4 | 8.484 | 21.2 | 0 0 1 |
| 10.7 | 8.249 | 100.0 | 0 1 0 |
| 13.9 | 6.366 | 18.8 | 1 0 0 |
| 16.3 | 5.444 | 22.8 | 1 1 1 |
| 20.9 | 4.241 | 19.0 | 0 0 2 |
| 21.6 | 4.112 | 29.6 | 1 2 1 |
| 24.2 | 3.682 | 32.8 | 0 2 2 |
| 25.0 | 3.567 | 30.3 | 1 0 2 |
| 28.0 | 3.186 | 33.1 | 2 1 1 |
| 30.2 | 2.961 | 20.3 | 1 3 1 |